# 1
Diffraction record for Li4CdSn2Au. The PXRD pattern is computed, not measured: it uses a crystal structure in OQMD, relaxed with PBE and copper Kα.
Intensities are scaled so that the largest is 100.

Most intense lines, 2θ = 10–80°, by angle:
two_theta, I/Imax
23.4, 100
38.6, 94
45.6, 52
61.3, 22
69.9, 33
74.9, 16

Lattice parameters (Å, degrees): 4.659 4.659 6.595 90.00 90.00 90.00
Fractional positions:
Li 0.000 0.000 0.000
Li 0.000 0.500 0.232
Li 0.500 0.000 0.768
Li 0.500 0.500 0.500
Cd 0.000 0.000 0.500
Sn 0.000 0.500 0.759
Sn 0.500 0.000 0.241
Au 0.500 0.500 0.000

=====

# 2
Diffraction record for Ta4CuN3. The PXRD pattern is computed, not measured: it uses a crystal structure in OQMD, relaxed with PBE and copper Kα.
Intensities are scaled so that the largest is 100.

Most intense lines, 2θ = 10–80°, by angle:
two_theta, I/Imax
33.8, 36
36.5, 32
38.4, 60
40.7, 100
58.6, 44
72.9, 27

Lattice parameters (Å, degrees): 3.148 3.148 22.892 90.00 90.00 120.00
Fractional positions:
Ta 0.000 0.000 0.160
Ta 0.000 0.000 0.340
Ta 0.000 0.000 0.660
Ta 0.000 0.000 0.840
Ta 0.333 0.667 0.059
Ta 0.333 0.667 0.441
Ta 0.667 0.333 0.559
Ta 0.667 0.333 0.941
Cu 0.333 0.667 0.250
Cu 0.667 0.333 0.750
N 0.000 0.000 0.000
N 0.000 0.000 0.500
N 0.333 0.667 0.612
N 0.333 0.667 0.888
N 0.667 0.333 0.112
N 0.667 0.333 0.388

=====

# 3
Diffraction record for DyYIn4Co2. The PXRD pattern is computed, not measured: it uses a crystal structure in OQMD, relaxed with PBE and copper Kα.
Intensities are scaled so that the largest is 100.

Most intense lines, 2θ = 10–80°, by angle:
two_theta, I/Imax
32.8, 100
33.6, 39
35.7, 52
39.8, 32
42.4, 37
42.5, 38

Lattice parameters (Å, degrees): 7.580 5.557 5.557 45.17 90.00 90.00
Fractional positions:
Dy 0.000 0.000 0.000
Y 0.500 0.132 0.132
In 0.199 0.712 0.712
In 0.301 0.420 0.420
In 0.699 0.420 0.420
In 0.801 0.712 0.712
Co 0.000 0.281 0.281
Co 0.500 0.850 0.850

=====

# 4
Diffraction record for Sr3Cu4Sb4. The PXRD pattern is computed, not measured: it uses a crystal structure in OQMD, relaxed with PBE and copper Kα.
Intensities are scaled so that the largest is 100.

Most intense lines, 2θ = 10–80°, by angle:
two_theta, I/Imax
32.0, 100
32.6, 80
37.8, 45
42.1, 19
43.5, 34
44.4, 22

Lattice parameters (Å, degrees): 8.736 8.736 8.736 148.38 132.05 58.57
Fractional positions:
Sr 0.000 0.000 0.000
Sr 0.368 0.868 0.500
Sr 0.632 0.132 0.500
Cu 0.012 0.331 0.681
Cu 0.350 0.669 0.681
Cu 0.650 0.331 0.319
Cu 0.988 0.669 0.319
Sb 0.219 0.219 0.000
Sb 0.297 0.500 0.797
Sb 0.703 0.500 0.203
Sb 0.781 0.781 0.000

=====

# 5
Diffraction record for DyHoZn2Ga. The PXRD pattern is computed, not measured: it uses a crystal structure in OQMD, relaxed with PBE and copper Kα.
Intensities are scaled so that the largest is 100.

Most intense lines, 2θ = 10–80°, by angle:
two_theta, I/Imax
33.4, 100
36.6, 60
38.3, 33
38.8, 62
41.5, 32
56.5, 34

Lattice parameters (Å, degrees): 3.518 7.205 7.205 35.13 90.00 90.00
Fractional positions:
Dy 0.000 0.000 0.000
Ho 0.000 0.761 0.761
Zn 0.500 0.181 0.181
Zn 0.500 0.582 0.582
Ga 0.500 0.380 0.380

=====

# 6
Diffraction record for Na4Tl3Hg. The PXRD pattern is computed, not measured: it uses a crystal structure in OQMD, relaxed with PBE and copper Kα.
Intensities are scaled so that the largest is 100.

Most intense lines, 2θ = 10–80°, by angle:
two_theta, I/Imax
20.6, 69
33.9, 100
40.0, 39
48.7, 18
53.4, 17
60.6, 38

Lattice parameters (Å, degrees): 5.289 5.289 7.484 90.00 90.00 90.00
Fractional positions:
Na 0.000 0.000 0.000
Na 0.000 0.500 0.748
Na 0.500 0.000 0.252
Na 0.500 0.500 0.500
Tl 0.000 0.500 0.255
Tl 0.500 0.000 0.745
Tl 0.500 0.500 0.000
Hg 0.000 0.000 0.500

=====

# 7
Diffraction record for Ta4Co25. The PXRD pattern is computed, not measured: it uses a crystal structure in OQMD, relaxed with PBE and copper Kα.
Intensities are scaled so that the largest is 100.

Most intense lines, 2θ = 10–80°, by angle:
two_theta, I/Imax
20.3, 8
24.9, 15
43.9, 100
48.8, 17
51.1, 11
77.0, 8

Lattice parameters (Å, degrees): 7.580 7.580 7.580 109.47 109.47 109.47
Fractional positions:
Ta 0.000 0.000 0.638
Ta 0.000 0.638 0.000
Ta 0.362 0.362 0.362
Ta 0.638 0.000 0.000
Co 0.000 0.000 0.000
Co 0.000 0.190 0.374
Co 0.000 0.374 0.190
Co 0.000 0.395 0.676
Co 0.000 0.676 0.395
Co 0.183 0.810 0.810
Co 0.190 0.000 0.374
Co 0.190 0.374 0.000
Co 0.281 0.605 0.605
Co 0.324 0.324 0.719
Co 0.324 0.719 0.324
Co 0.374 0.000 0.190
Co 0.374 0.190 0.000
Co 0.395 0.000 0.676
Co 0.395 0.676 0.000
Co 0.605 0.281 0.605
Co 0.605 0.605 0.281
Co 0.626 0.626 0.817
Co 0.626 0.817 0.626
Co 0.676 0.000 0.395
Co 0.676 0.395 0.000
Co 0.719 0.324 0.324
Co 0.810 0.183 0.810
Co 0.810 0.810 0.183
Co 0.817 0.626 0.626

=====

# 8
Diffraction record for ZrScAu2. The PXRD pattern is computed, not measured: it uses a crystal structure in OQMD, relaxed with PBE and copper Kα.
Intensities are scaled so that the largest is 100.

Most intense lines, 2θ = 10–80°, by angle:
two_theta, I/Imax
23.1, 28
38.1, 100
45.0, 16
55.0, 17
60.4, 7
68.9, 35

Lattice parameters (Å, degrees): 4.721 4.721 4.721 60.00 60.00 60.00
Fractional positions:
Zr 0.000 0.000 0.000
Sc 0.750 0.750 0.750
Au 0.250 0.250 0.250
Au 0.500 0.500 0.500

=====

# 9
Diffraction record for LaNd2Co2B2P3. The PXRD pattern is computed, not measured: it uses a crystal structure in OQMD, relaxed with PBE and copper Kα.
Intensities are scaled so that the largest is 100.

Most intense lines, 2θ = 10–80°, by angle:
two_theta, I/Imax
25.2, 100
31.5, 53
32.1, 45
40.0, 70
45.2, 49
56.5, 34

Lattice parameters (Å, degrees): 11.495 11.495 11.495 159.89 159.89 28.60
Fractional positions:
La 0.000 0.000 0.000
Nd 0.359 0.359 0.000
Nd 0.641 0.641 0.000
Co 0.250 0.750 0.500
Co 0.750 0.250 0.500
B 0.217 0.217 0.000
B 0.783 0.783 0.000
P 0.129 0.129 0.000
P 0.500 0.500 0.000
P 0.871 0.871 0.000

=====

# 10
Diffraction record for NaCuTePd. The PXRD pattern is computed, not measured: it uses a crystal structure in OQMD, relaxed with PBE and copper Kα.
Intensities are scaled so that the largest is 100.

Most intense lines, 2θ = 10–80°, by angle:
two_theta, I/Imax
23.2, 27
38.4, 100
45.3, 13
55.4, 17
60.9, 6
69.4, 33

Lattice parameters (Å, degrees): 4.691 4.691 4.691 60.00 60.00 60.00
Fractional positions:
Na 0.000 0.000 0.000
Cu 0.750 0.750 0.750
Te 0.500 0.500 0.500
Pd 0.250 0.250 0.250

=====

# 11
Diffraction record for Ba2FeAsP. The PXRD pattern is computed, not measured: it uses a crystal structure in OQMD, relaxed with PBE and copper Kα.
Intensities are scaled so that the largest is 100.

Most intense lines, 2θ = 10–80°, by angle:
two_theta, I/Imax
24.1, 36
27.8, 100
30.7, 24
32.5, 43
33.9, 31
42.0, 24

Lattice parameters (Å, degrees): 9.217 9.217 8.098 90.00 90.00 152.98
Fractional positions:
Ba 0.028 0.972 0.500
Ba 0.227 0.773 0.157
Ba 0.773 0.227 0.657
Ba 0.972 0.028 0.000
Fe 0.379 0.621 0.411
Fe 0.621 0.379 0.911
As 0.413 0.587 0.697
As 0.587 0.413 0.197
P 0.145 0.855 0.803
P 0.855 0.145 0.303

=====

# 12
Diffraction record for SrPrAgS3. The PXRD pattern is computed, not measured: it uses a crystal structure in OQMD, relaxed with PBE and copper Kα.
Intensities are scaled so that the largest is 100.

Most intense lines, 2θ = 10–80°, by angle:
two_theta, I/Imax
13.1, 100
27.5, 69
31.9, 46
32.3, 43
35.4, 57
35.5, 73

Lattice parameters (Å, degrees): 7.747 4.118 9.764 90.00 104.37 90.00
Fractional positions:
Sr 0.236 0.250 0.202
Sr 0.764 0.750 0.798
Pr 0.205 0.750 0.651
Pr 0.795 0.250 0.349
Ag 0.403 0.250 0.910
Ag 0.597 0.750 0.090
S 0.059 0.750 0.353
S 0.219 0.750 0.958
S 0.462 0.250 0.667
S 0.538 0.750 0.333
S 0.781 0.250 0.042
S 0.941 0.250 0.647

=====

# 13
Diffraction record for LiNdHg3Se4. The PXRD pattern is computed, not measured: it uses a crystal structure in OQMD, relaxed with PBE and copper Kα.
Intensities are scaled so that the largest is 100.

Most intense lines, 2θ = 10–80°, by angle:
two_theta, I/Imax
13.2, 66
23.0, 66
29.9, 37
38.1, 100
45.0, 35
68.8, 35

Lattice parameters (Å, degrees): 6.688 6.688 6.688 90.00 90.00 90.00
Fractional positions:
Li 0.000 0.000 0.000
Nd 0.500 0.500 0.500
Hg 0.000 0.500 0.500
Hg 0.500 0.000 0.500
Hg 0.500 0.500 0.000
Se 0.254 0.254 0.254
Se 0.254 0.746 0.746
Se 0.746 0.254 0.746
Se 0.746 0.746 0.254

=====

# 14
Diffraction record for LaPrTe2As2. The PXRD pattern is computed, not measured: it uses a crystal structure in OQMD, relaxed with PBE and copper Kα.
Intensities are scaled so that the largest is 100.

Most intense lines, 2θ = 10–80°, by angle:
two_theta, I/Imax
28.4, 39
29.9, 28
31.4, 42
35.6, 100
42.8, 35
56.8, 27

Lattice parameters (Å, degrees): 4.227 4.227 9.440 90.00 90.00 90.00
Fractional positions:
La 0.000 0.000 0.000
Pr 0.500 0.500 0.489
Te 0.000 0.000 0.369
Te 0.500 0.500 0.122
As 0.000 0.500 0.742
As 0.500 0.000 0.742